(1)
This entry pairs a crystal structure of NaAl3Si3O12 with its calculated powder XRD pattern. Radiation: Cu Kα X-rays. Structure: a crystal structure in the Materials Project, relaxed with PBE.
No peak broadening, texture or thermal motion is included.

Most intense lines, 10° ≤ 2θ ≤ 90°, most intense first:
d = 4.493 Å, 2θ = 19.8°, intensity 100; d = 3.289 Å, 2θ = 27.1°, intensity 88; d = 2.599 Å, 2θ = 34.5°, intensity 45; d = 3.350 Å, 2θ = 26.6°, intensity 44; d = 4.556 Å, 2θ = 19.5°, intensity 42; d = 3.259 Å, 2θ = 27.4°, intensity 37

Structural model:
```
NaAl3Si3O12
1.0
2.634 -4.563 0.000
2.634 4.563 0.000
-1.247 0.000 19.731
Na Al Si O
2 6 6 24
Direct
0.092 0.908 0.500
0.908 0.092 0.000
0.242 0.424 0.776
0.411 0.563 0.414
0.424 0.242 0.276
0.563 0.411 0.914
0.681 0.866 0.276
0.866 0.681 0.776
0.220 0.727 0.916
0.373 0.884 0.135
0.538 0.684 0.635
0.684 0.538 0.135
0.727 0.220 0.416
0.884 0.373 0.635
0.024 0.660 0.114
0.041 0.114 0.237
0.060 0.490 0.435
0.060 0.966 0.304
0.114 0.041 0.737
0.157 0.660 0.832
0.201 0.481 0.601
0.300 0.489 0.947
0.447 0.942 0.217
0.464 0.560 0.327
0.481 0.201 0.101
0.489 0.300 0.447
0.490 0.060 0.935
0.533 0.639 0.715
0.560 0.464 0.827
0.568 0.749 0.102
0.639 0.533 0.215
0.660 0.024 0.614
0.660 0.157 0.332
0.678 0.917 0.448
0.749 0.568 0.602
0.917 0.678 0.948
0.942 0.447 0.717
0.966 0.060 0.804
```

---

(2)
This entry pairs a crystal structure of Na4Al3Si3O12 with its calculated powder XRD pattern. Radiation: Cu Kα X-rays. Structure: a crystal structure in the Materials Project, relaxed with PBE.
No peak broadening, texture or thermal motion is included.

Most intense lines, 10° ≤ 2θ ≤ 90°, most intense first:
d = 6.330 Å, 2θ = 14.0°, intensity 100; d = 3.655 Å, 2θ = 24.4°, intensity 73; d = 2.110 Å, 2θ = 42.9°, intensity 32; d = 2.584 Å, 2θ = 34.7°, intensity 31; d = 2.831 Å, 2θ = 31.6°, intensity 27; d = 1.535 Å, 2θ = 60.3°, intensity 14

Structural model:
```
Na4Al3Si3O12
1.0
8.952 0.000 0.000
0.000 8.952 0.000
0.000 0.000 8.952
Na Al Si O
8 6 6 24
Direct
0.176 0.176 0.176
0.176 0.824 0.824
0.324 0.324 0.676
0.324 0.676 0.324
0.676 0.324 0.324
0.676 0.676 0.676
0.824 0.176 0.824
0.824 0.824 0.176
0.000 0.250 0.500
0.000 0.750 0.500
0.250 0.500 0.000
0.500 0.000 0.250
0.500 0.000 0.750
0.750 0.500 0.000
0.000 0.500 0.250
0.000 0.500 0.750
0.250 0.000 0.500
0.500 0.250 0.000
0.500 0.750 0.000
0.750 0.000 0.500
0.064 0.361 0.649
0.064 0.639 0.351
0.139 0.436 0.149
0.139 0.564 0.851
0.149 0.139 0.436
0.149 0.861 0.564
0.351 0.064 0.639
0.351 0.936 0.361
0.361 0.351 0.936
0.361 0.649 0.064
0.436 0.149 0.139
0.436 0.851 0.861
0.564 0.149 0.861
0.564 0.851 0.139
0.639 0.351 0.064
0.639 0.649 0.936
0.649 0.064 0.361
0.649 0.936 0.639
0.851 0.139 0.564
0.851 0.861 0.436
0.861 0.436 0.851
0.861 0.564 0.149
0.936 0.361 0.351
0.936 0.639 0.649
```

---

(3)
This entry pairs a crystal structure of Na8Al6Si6O25 with its calculated powder XRD pattern. Radiation: Cu Kα X-rays. Structure: a crystal structure in the Materials Project, relaxed with PBE.
No peak broadening, texture or thermal motion is included.

Most intense lines, 10° ≤ 2θ ≤ 90°, most intense first:
d = 6.375 Å, 2θ = 13.9°, intensity 100; d = 3.681 Å, 2θ = 24.2°, intensity 93; d = 2.605 Å, 2θ = 34.4°, intensity 27; d = 2.851 Å, 2θ = 31.4°, intensity 24; d = 2.126 Å, 2θ = 42.5°, intensity 19; d = 2.411 Å, 2θ = 37.3°, intensity 11

Structural model:
```
Na8Al6Si6O25
1.0
6.383 3.685 5.192
-6.383 3.685 5.192
0.000 -7.371 5.192
Na Al Si O
8 6 6 25
Direct
0.000 0.000 0.000
0.101 0.397 0.102
0.102 0.101 0.397
0.397 0.102 0.101
0.401 0.401 0.401
0.551 0.552 0.964
0.552 0.964 0.551
0.964 0.551 0.552
0.005 0.255 0.753
0.255 0.753 0.005
0.257 0.756 0.504
0.504 0.257 0.756
0.753 0.005 0.255
0.756 0.504 0.257
0.005 0.754 0.257
0.255 0.504 0.754
0.257 0.005 0.754
0.504 0.754 0.255
0.754 0.255 0.504
0.754 0.257 0.005
0.105 0.698 0.116
0.105 0.814 0.397
0.113 0.407 0.811
0.116 0.105 0.698
0.197 0.609 0.617
0.200 0.902 0.893
0.241 0.241 0.241
0.316 0.603 0.895
0.317 0.906 0.614
0.394 0.404 0.693
0.397 0.105 0.814
0.404 0.693 0.394
0.407 0.811 0.113
0.603 0.895 0.316
0.609 0.617 0.197
0.614 0.317 0.906
0.617 0.197 0.609
0.693 0.394 0.404
0.698 0.116 0.105
0.811 0.113 0.407
0.814 0.397 0.105
0.893 0.200 0.902
0.895 0.316 0.603
0.902 0.893 0.200
0.906 0.614 0.317
```

---

(4)
This entry pairs a crystal structure of Na2Al2Si3O10 with its calculated powder XRD pattern. Radiation: Cu Kα X-rays. Structure: a crystal structure in the Materials Project, relaxed with PBE.
No peak broadening, texture or thermal motion is included.

Most intense lines, 10° ≤ 2θ ≤ 90°, most intense first:
d = 4.320 Å, 2θ = 20.6°, intensity 100; d = 6.416 Å, 2θ = 13.8°, intensity 63; d = 2.812 Å, 2θ = 31.8°, intensity 42; d = 5.842 Å, 2θ = 15.2°, intensity 33; d = 3.085 Å, 2θ = 28.9°, intensity 33; d = 2.390 Å, 2θ = 37.6°, intensity 25

Structural model:
```
Na2Al2Si3O10
1.0
0.000 9.074 3.281
9.073 0.000 3.281
9.073 9.074 0.000
Na Al Si O
4 4 6 20
Direct
0.291 0.709 0.356
0.606 0.894 0.541
0.709 0.291 0.644
0.894 0.606 0.959
0.036 0.161 0.766
0.161 0.036 0.036
0.214 0.484 0.089
0.484 0.214 0.214
0.048 0.181 0.520
0.181 0.048 0.251
0.487 0.487 0.513
0.730 0.999 0.202
0.737 0.737 0.763
0.999 0.730 0.069
0.004 0.901 0.896
0.051 0.354 0.349
0.097 0.607 0.018
0.137 0.851 0.045
0.205 0.284 0.113
0.232 0.972 0.153
0.284 0.205 0.399
0.312 0.399 0.546
0.354 0.051 0.246
0.399 0.312 0.743
0.507 0.704 0.851
0.527 0.728 0.408
0.607 0.097 0.278
0.704 0.507 0.938
0.728 0.527 0.336
0.842 0.914 0.723
0.851 0.137 0.966
0.901 0.004 0.199
0.914 0.842 0.522
0.972 0.232 0.643
```